Record 1
Structure and theoretical powder diffraction line list of LiZr2P3O12 (the GGA-PBE geometry in the Materials Project; Cu Kα (λ = 1.5418 Å)).
No peak broadening, texture or thermal motion is included.

Peak list (10 most intense, 2θ = 10–80°, low angle first)
two_theta, d [Å], I_rel
13.78, 6.425, 42
19.39, 4.577, 100
19.98, 4.444, 26
20.10, 4.418, 24
23.27, 3.823, 27
27.69, 3.222, 26
27.85, 3.203, 23
30.84, 2.899, 28
34.59, 2.593, 22
34.77, 2.580, 22

Cell and atoms:
```
LiZr2P3O12
1.0
8.8365 0.0000 0.0000
-4.2890 7.7870 0.0000
-4.4118 -2.6432 7.5808
Li Zr P O
2 4 6 24
Direct
0.1518 0.1825 0.4269
0.8482 0.8175 0.5731
0.2860 0.6423 0.4234
0.2963 0.1431 0.9315
0.7037 0.8569 0.0685
0.7140 0.3577 0.5766
0.2122 0.7472 0.7539
0.2211 0.9792 0.2569
0.4849 0.4540 0.7411
0.5151 0.5460 0.2589
0.7789 0.0208 0.7431
0.7878 0.2528 0.2461
0.0094 0.9187 0.2274
0.0288 0.5622 0.7234
0.1505 0.8865 0.7437
0.2180 0.0018 0.0897
0.2556 0.7346 0.6120
0.2717 0.8382 0.3108
0.3347 0.4573 0.5607
0.3369 0.5384 0.2578
0.3453 0.2679 0.7505
0.3788 0.1661 0.4077
0.4093 0.8098 0.9370
0.4205 0.3867 0.1030
0.5795 0.6133 0.8970
0.5907 0.1902 0.0630
0.6212 0.8339 0.5923
0.6547 0.7321 0.2495
0.6631 0.4616 0.7422
0.6653 0.5427 0.4393
0.7283 0.1618 0.6892
0.7444 0.2654 0.3880
0.7820 0.9982 0.9103
0.8495 0.1135 0.2563
0.9712 0.4378 0.2766
0.9906 0.0813 0.7726
```

=====

Record 2
Structure and theoretical powder diffraction line list of LiZr2P3O12 (the GGA-PBE geometry in the Materials Project; Cu Kα (λ = 1.5418 Å)).
No peak broadening, texture or thermal motion is included.

Peak list (10 most intense, 2θ = 10–80°, low angle first)
two_theta, d [Å], I_rel
13.83, 6.402, 29
19.56, 4.539, 100
19.72, 4.501, 41
22.94, 3.876, 25
23.10, 3.849, 46
27.82, 3.207, 37
27.99, 3.188, 17
31.23, 2.864, 24
34.31, 2.613, 27
44.79, 2.024, 20

Cell and atoms:
```
LiZr2P3O12
1.0
7.7720 -4.5447 0.0000
7.7720 4.5447 0.0000
-5.1757 0.0000 7.4268
Li Zr P O
2 4 6 24
Direct
0.1003 0.8997 0.5000
0.8997 0.1003 0.0000
0.1143 0.6033 0.1157
0.3966 0.8851 0.9595
0.6033 0.1143 0.6157
0.8851 0.3966 0.4595
0.0010 0.2071 0.7881
0.2071 0.0010 0.2881
0.2864 0.4997 0.7880
0.4997 0.2864 0.2880
0.7190 0.7903 0.7940
0.7903 0.7190 0.2940
0.0254 0.1613 0.2829
0.0481 0.3671 0.9544
0.1253 0.4529 0.6206
0.1613 0.0254 0.7829
0.1820 0.8477 0.2988
0.2333 0.9494 0.1107
0.2523 0.5453 0.9593
0.3071 0.6637 0.7956
0.3381 0.4616 0.2785
0.3671 0.0481 0.4544
0.4529 0.1253 0.1206
0.4616 0.3381 0.7785
0.5382 0.8180 0.7992
0.5453 0.2523 0.4593
0.6311 0.7504 0.1227
0.6637 0.3071 0.2956
0.7108 0.9681 0.7958
0.7504 0.6311 0.6227
0.7518 0.8779 0.4620
0.8180 0.5382 0.2992
0.8477 0.1820 0.7988
0.8779 0.7518 0.9620
0.9494 0.2333 0.6107
0.9681 0.7108 0.2958
```

=====

Record 3
Structure and theoretical powder diffraction line list of LiZr2P3O12 (the GGA-PBE geometry in the Materials Project; Cu Kα (λ = 1.5418 Å)).
No peak broadening, texture or thermal motion is included.

Peak list (10 most intense, 2θ = 10–80°, low angle first)
two_theta, d [Å], I_rel
13.76, 6.433, 45
19.29, 4.601, 100
19.66, 4.517, 23
19.77, 4.490, 50
22.90, 3.883, 30
23.01, 3.866, 58
27.70, 3.221, 46
27.81, 3.208, 21
30.80, 2.903, 57
34.32, 2.613, 22

Cell and atoms:
```
LiZr2P3O12
1.0
7.7608 -4.5167 0.0000
7.7608 4.5167 0.0000
-5.1737 0.0000 7.6009
Li Zr P O
2 4 6 24
Direct
0.2422 0.2422 0.2792
0.7578 0.7578 0.7208
0.2589 0.5300 0.6816
0.4700 0.7411 0.3184
0.7573 0.0296 0.1793
0.9704 0.2427 0.8207
0.0746 0.6342 0.9981
0.1535 0.1334 0.4983
0.3658 0.9254 0.0019
0.5769 0.4231 0.5000
0.6516 0.3484 0.0000
0.8666 0.8465 0.5017
0.0332 0.6749 0.5214
0.0524 0.4681 0.9828
0.0983 0.6025 0.8272
0.1202 0.1738 0.6644
0.1823 0.2942 0.5035
0.2021 0.1050 0.9972
0.2365 0.6719 0.1610
0.3251 0.9668 0.4786
0.3281 0.7635 0.8390
0.3975 0.9017 0.1728
0.3994 0.4409 0.5074
0.4860 0.3829 0.8363
0.5319 0.9476 0.0172
0.5591 0.6006 0.4926
0.6073 0.2613 0.3339
0.6171 0.5140 0.1637
0.6774 0.1755 0.0191
0.7058 0.8177 0.4965
0.7387 0.3927 0.6661
0.8245 0.3226 0.9809
0.8262 0.8798 0.3356
0.8950 0.7979 0.0028
0.8998 0.0115 0.6656
0.9885 0.1002 0.3344
```